The following is a computed X-ray diffraction stick pattern of Ba6Tl2PtRh. It was derived from a crystal structure in Alexandria, relaxed with GGA-PBE, using Cu Kα, 1.54184 Å.
Kinematic intensities with the Lorentz-polarization factor, no thermal factor.

Structure:
Unit cell a=8.4690 b=8.4949 c=8.4992 alpha=118.40 beta=91.27 gamma=119.78
Sites, in units of the cell vectors:
Ba  0.1936  0.4969  0.1880
Ba  0.2633  0.4142  0.6583
Ba  0.3017  0.0055  0.8036
Ba  0.6983  0.9945  0.1964
Ba  0.7367  0.5858  0.3417
Ba  0.8064  0.5031  0.8120
Tl  0.2536  0.9901  0.2382
Tl  0.7464  0.0099  0.7618
Pt  0.0000  0.5000  0.5000
Rh  0.5000  0.5000  0.0000

Most intense lines, 10 to 80 degrees two-theta, low angle first:
- 20.89°, 4.252 Å, I 100, (0 1 -2)
- 24.78°, 3.593 Å, I 36, (2 -2 1)
- 25.77°, 3.457 Å, I 86, (0 2 -2)
- 29.26°, 3.052 Å, I 94, (0 2 0)
- 29.46°, 3.032 Å, I 84, (2 0 -2)
- 30.13°, 2.966 Å, I 56, (2 -2 2)
- 36.05°, 2.491 Å, I 33, (2 -3 0)
- 36.94°, 2.433 Å, I 40, (1 -3 3)
- 42.47°, 2.129 Å, I 58, (2 2 -2)
- 42.58°, 2.123 Å, I 31, (2 -4 2)